# NiH8Cl2O4
Calculated X-ray powder pattern, Cu Kα (weighted mean of Kα1 and Kα2). Input: a DFT-relaxed cell (PBE+U, the Materials Project).
No peak broadening, texture or thermal motion is included.

Top 10 peaks for 2θ from 10° to 90°, low angle first:
- d = 5.389 Å, intensity 44, hkl 0 0 2
- d = 4.795 Å, intensity 85, hkl 1 1 0
- d = 4.687 Å, intensity 21, hkl 0 2 0
- d = 4.292 Å, intensity 100, hkl 1 1 -2
- d = 2.940 Å, intensity 33, hkl 2 0 -2
- d = 2.852 Å, intensity 58, hkl 0 2 3
- d = 2.704 Å, intensity 21, hkl 0 3 2
- d = 2.541 Å, intensity 34, hkl 1 3 1
- d = 2.412 Å, intensity 23, hkl 2 0 -4
- d = 2.011 Å, intensity 23, hkl 1 3 3

Crystal structure
Unit cell a=5.9679 b=9.3769 c=11.5274 alpha=90.00 beta=110.77 gamma=90.00
Space group P2_1/c (No. 14)
One atom of each set of equivalent atoms:
Ni 0.2488 0.1716 0.2624 (multiplicity 4)
H 0.0033 0.0607 0.8550 (multiplicity 4)
H 0.0345 0.2001 0.4236 (multiplicity 4)
H 0.1301 0.5756 0.4364 (multiplicity 4)
H 0.1732 0.6891 0.2083 (multiplicity 4)
H 0.2068 0.5684 0.8877 (multiplicity 4)
H 0.4692 0.5133 0.3172 (multiplicity 4)
H 0.4853 0.5596 0.8995 (multiplicity 4)
H 0.4866 0.1565 0.1103 (multiplicity 4)
Cl 0.1475 0.1389 0.6164 (multiplicity 4)
Cl 0.4807 0.6874 0.5732 (multiplicity 4)
O 0.0122 0.7310 0.1644 (multiplicity 4)
O 0.0159 0.0410 0.1285 (multiplicity 4)
O 0.3284 0.5125 0.8676 (multiplicity 4)
O 0.4733 0.6180 0.3043 (multiplicity 4)